Theoretical powder diffractogram of AsP2Pb for Cu Kα, 1.54184 Å, from DFT lattice parameters and positions (PBE).
Intensities are scaled so that the largest is 100.

Largest 8 diffraction maxima, by angle, 2θ = 10–90°:
d (Å)  2theta  Rel. int.
4.475  19.84  100
3.162  28.23  73
2.848  31.41  97
2.539  35.35  55
2.347  38.35  70
2.237  40.33  26
2.183  41.37  45
1.581  58.37  27

Structural model:
abc: 5.2330 5.2330 5.7831
angles: 114.02 114.02 37.68
Fractional positions:
As 0.0000 0.0000 0.0000
P 0.3906 0.3906 0.2196
P 0.7211 0.7211 0.2044
Pb 0.1656 0.1656 0.6060